Starting from the GGA-PBE geometry in the Materials Project, the powder diffractogram of Zn3As2O8 was simulated for Cu Ka.

Largest 10 diffraction maxima, low angle first, 2θ = 10–90°:
2θ = 18.72°, rel. 25.5, (0 1 2); 2θ = 24.83°, rel. 37.2, (1 2 -1); 2θ = 25.40°, rel. 36.9, (1 2 1); 2θ = 28.38°, rel. 41.9, (2 1 0); 2θ = 29.04°, rel. 41.6, (2 1 -1); 2θ = 29.99°, rel. 69.2, (2 1 1); 2θ = 30.82°, rel. 79.1, (0 3 1); 2θ = 32.20°, rel. 100.0, (0 0 4); 2θ = 34.68°, rel. 36.3, (1 2 3); 2θ = 36.33°, rel. 37.1, (2 2 -2)

Cell lengths 6.7244, 9.0148, 11.1428 Å; angles 90.00, 93.67, 90.00 degrees
Fractional coordinates of all 52 atoms:
Zn 0.0805 0.2166 0.0784
Zn 0.0805 0.2834 0.5784
Zn 0.2471 0.6440 0.6346
Zn 0.2471 0.8560 0.1346
Zn 0.3815 0.0211 0.6161
Zn 0.3815 0.4789 0.1161
Zn 0.6185 0.5211 0.8839
Zn 0.6185 0.9789 0.3839
Zn 0.7529 0.1440 0.8654
Zn 0.7529 0.3560 0.3654
Zn 0.9195 0.7166 0.4216
Zn 0.9195 0.7834 0.9216
As 0.1063 0.0613 0.3529
As 0.1063 0.4387 0.8529
As 0.4174 0.6313 0.3640
As 0.4174 0.8687 0.8640
As 0.5826 0.1313 0.1360
As 0.5826 0.3687 0.6360
As 0.8937 0.5613 0.1471
As 0.8937 0.9387 0.6471
O 0.0505 0.2400 0.3934
O 0.0505 0.2600 0.8934
O 0.0784 0.0656 0.6194
O 0.0784 0.4344 0.1194
O 0.1266 0.0478 0.1983
O 0.1266 0.4522 0.6983
O 0.2179 0.6582 0.4535
O 0.2179 0.8418 0.9535
O 0.3261 0.5027 0.9234
O 0.3261 0.9973 0.4234
O 0.3360 0.6686 0.2152
O 0.3360 0.8314 0.7152
O 0.3915 0.2486 0.5929
O 0.3915 0.2514 0.0929
O 0.4770 0.0515 0.8566
O 0.4770 0.4485 0.3566
O 0.5230 0.5515 0.6434
O 0.5230 0.9485 0.1434
O 0.6085 0.7486 0.9071
O 0.6085 0.7514 0.4071
O 0.6640 0.1686 0.2848
O 0.6640 0.3314 0.7848
O 0.6739 0.0027 0.5766
O 0.6739 0.4973 0.0766
O 0.7821 0.1582 0.0465
O 0.7821 0.3418 0.5465
O 0.8734 0.5478 0.3017
O 0.8734 0.9522 0.8017
O 0.9216 0.5656 0.8806
O 0.9216 0.9344 0.3806
O 0.9495 0.7400 0.1066
O 0.9495 0.7600 0.6066



Starting from the GGA-PBE geometry in the Materials Project, the powder diffractogram of GaPt was simulated for Cu Ka.

Largest 10 diffraction maxima, low angle first, 2θ = 10–90°:
2θ = 25.33°, rel. 26.1, (1 1 0); 2θ = 31.15°, rel. 16.3, (1 1 1); 2θ = 36.12°, rel. 6.2, (2 0 0); 2θ = 40.56°, rel. 100.0, (2 1 0); 2θ = 44.63°, rel. 48.8, (2 1 1); 2θ = 61.88°, rel. 12.6, (3 1 1); 2θ = 67.97°, rel. 9.6, (3 0 2); 2θ = 70.91°, rel. 30.3, (3 1 2); 2θ = 76.65°, rel. 8.5, (4 0 0); 2θ = 85.02°, rel. 9.5, (3 3 1)

Cell lengths 4.9729, 4.9729, 4.9729 Å; angles 90.00, 90.00, 90.00 degrees
Fractional coordinates of all 8 atoms:
Ga 0.1584 0.3416 0.6584
Ga 0.3416 0.6584 0.1584
Ga 0.6584 0.1584 0.3416
Ga 0.8416 0.8416 0.8416
Pt 0.1397 0.1397 0.1397
Pt 0.3603 0.8603 0.6397
Pt 0.6397 0.3603 0.8603
Pt 0.8603 0.6397 0.3603